Entry 1:
# Ce3SeO3
Simulated powder XRD pattern, Cu Kα, 1.54184 Å. Input: DFT lattice parameters and positions (PBE).
Lines closer than 0.1° are merged.

Principal peaks in the range 2θ = 10–80°, in order of rising 2θ:
2θ = 25.1°, rel. 15; 2θ = 25.9°, rel. 13; 2θ = 28.8°, rel. 100; 2θ = 36.4°, rel. 39; 2θ = 38.0°, rel. 12; 2θ = 45.7°, rel. 34; 2θ = 46.5°, rel. 18; 2θ = 54.9°, rel. 17; 2θ = 60.9°, rel. 17; 2θ = 74.2°, rel. 14

Unit cell a=6.8778 b=6.8778 c=21.3269 alpha=90.00 beta=90.00 gamma=120.00
Space group R-3 (No. 148, hexagonal axes)
Symmetry-distinct sites (fractional):
Ce 0.0011 0.6598 0.4021 (multiplicity 18)
Se 0.0000 0.0000 0.1666 (multiplicity 6)
O 0.0023 0.6739 0.6237 (multiplicity 18)

---

Entry 2:
# La2ZrPt
Simulated powder XRD pattern, Cu Kα, 1.54184 Å. Input: DFT lattice parameters and positions (PBE).
Lines closer than 0.1° are merged.

Principal peaks in the range 2θ = 10–80°, in order of rising 2θ:
2θ = 27.3°, rel. 12; 2θ = 30.0°, rel. 12; 2θ = 32.5°, rel. 100; 2θ = 36.2°, rel. 55; 2θ = 39.7°, rel. 29; 2θ = 47.7°, rel. 14; 2θ = 52.1°, rel. 19; 2θ = 58.0°, rel. 11; 2θ = 62.7°, rel. 30; 2θ = 67.5°, rel. 12

Unit cell a=3.510 b=3.510 c=8.921 alpha=90.00 beta=90.00 gamma=90.00
Space group P4mm (No. 99)
Symmetry-distinct sites (fractional):
La 0.000 0.000 0.000 (multiplicity 1)
La 0.500 0.500 0.351 (multiplicity 1)
Zr 0.500 0.500 0.732 (multiplicity 1)
Pt 0.000 0.000 0.580 (multiplicity 1)

---

Entry 3:
# LiAl5Ag3
Simulated powder XRD pattern, Cu Kα, 1.54184 Å. Input: DFT lattice parameters and positions (PBE).
Lines closer than 0.1° are merged.

Principal peaks in the range 2θ = 10–80°, in order of rising 2θ:
2θ = 23.4°, rel. 68; 2θ = 24.0°, rel. 40; 2θ = 24.5°, rel. 96; 2θ = 24.6°, rel. 100; 2θ = 27.7°, rel. 62; 2θ = 38.4°, rel. 50; 2θ = 40.1°, rel. 34; 2θ = 43.2°, rel. 43; 2θ = 43.5°, rel. 31; 2θ = 45.1°, rel. 33

Unit cell a=10.823 b=7.280 c=9.421 alpha=90.00 beta=95.32 gamma=90.00
Space group C2/m (No. 12)
Symmetry-distinct sites (fractional):
Li 0.139 0.000 0.290 (multiplicity 4)
Al 0.000 0.329 0.000 (multiplicity 4)
Al 0.113 0.500 0.462 (multiplicity 4)
Al 0.187 0.194 0.621 (multiplicity 8)
Al 0.238 0.000 0.036 (multiplicity 4)
Ag 0.000 0.000 0.000 (multiplicity 2)
Ag 0.000 0.000 0.500 (multiplicity 2)
Ag 0.097 0.500 0.744 (multiplicity 4)
Ag 0.158 0.500 0.197 (multiplicity 4)